Starting from a DFT-relaxed cell (PBE+U, the Materials Project), the powder X-ray diffraction pattern of SbW5O15 was calculated for copper Kα.
Lines closer than 0.1° are merged.

Main lines, sorted by position (2θ from 5° to 70°):
- hkl 2 0 0, 2θ 23.1, intensity 100.0
- hkl 0 2 2, 2θ 25.1, intensity 42.3
- hkl 0 6 0, 2θ 25.6, intensity 67.0
- hkl 0 4 2, 2θ 29.2, intensity 48.0
- hkl 2 2 2, 2θ 34.4, intensity 27.9
- hkl 2 6 0, 2θ 34.7, intensity 43.6
- hkl 2 4 2, 2θ 37.6, intensity 30.9
- hkl 2 0 4, 2θ 54.1, intensity 22.2

Structural model:
Cell lengths 7.717, 20.862, 7.538 Å; angles 90.00, 90.00, 90.00 degrees
Space group Cmme (No. 67)
Symmetry-distinct sites (fractional):
Sb 0.000 0.250 0.074 [4 per cell]
W 0.000 0.090 0.250 [8 per cell]
W 0.000 0.090 0.754 [8 per cell]
W 0.000 0.250 0.518 [4 per cell]
O 0.000 0.000 0.196 [8 per cell]
O 0.000 0.075 0.500 [8 per cell]
O 0.000 0.121 0.001 [8 per cell]
O 0.000 0.184 0.682 [8 per cell]
O 0.000 0.189 0.298 [8 per cell]
O 0.250 0.093 0.246 [16 per cell]
O 0.250 0.250 0.500 [4 per cell]